# Na2MgFeAs2
Computed powder X-ray diffraction pattern, Cu Ka. Input: the PBE geometry in OQMD.

Atomic structure:
Cell: 4.190 4.190 7.096 Å, 90.00 90.00 90.00°
Atoms (fractional coordinates):
Na 0.000 0.500 0.144
Na 0.500 0.000 0.856
Mg 0.000 0.000 0.500
Fe 0.500 0.500 0.500
As 0.000 0.500 0.719
As 0.500 0.000 0.281

Main lines, sorted by position (10° ≤ 2θ ≤ 80°):
Position (°2θ)  I_rel
12.47  57.6
24.68  86.3
30.17  26.1
33.09  36.5
39.63  100.0
43.19  56.5
43.96  30.1
76.80  26.5

=====

# Li2Hf2GaSiIr2
Computed powder X-ray diffraction pattern, Cu Ka. Input: the PBE geometry in OQMD.

Atomic structure:
Cell: 4.400 4.400 6.230 Å, 90.00 90.00 90.00°
Atoms (fractional coordinates):
Li 0.000 0.500 0.250
Li 0.500 0.000 0.750
Hf 0.000 0.000 0.000
Hf 0.500 0.500 0.500
Ga 0.000 0.000 0.500
Si 0.500 0.500 0.000
Ir 0.000 0.500 0.758
Ir 0.500 0.000 0.242

Main lines, sorted by position (10° ≤ 2θ ≤ 80°):
Position (°2θ)  I_rel
24.77  68.8
28.68  0.8
32.16  0.7
41.01  100.0
48.50  34.7
59.39  16.9
65.34  14.3
74.70  34.4

=====

# Li2Hf2In2PdPt
Computed powder X-ray diffraction pattern, Cu Ka. Input: the PBE geometry in OQMD.

Atomic structure:
Cell: 4.594 4.594 6.502 Å, 90.00 90.00 90.00°
Atoms (fractional coordinates):
Li 0.000 0.000 0.000
Li 0.500 0.500 0.500
Hf 0.000 0.500 0.247
Hf 0.500 0.000 0.753
In 0.000 0.500 0.745
In 0.500 0.000 0.255
Pd 0.000 0.000 0.500
Pt 0.500 0.500 0.000

Main lines, sorted by position (10° ≤ 2θ ≤ 80°):
Position (°2θ)  I_rel
23.72  29.9
27.45  12.2
39.21  100.0
46.34  15.3
56.66  17.0
62.28  6.4
71.07  34.4
76.11  4.8

=====

# CdCuHgPb
Computed powder X-ray diffraction pattern, Cu Ka. Input: the PBE geometry in OQMD.

Atomic structure:
Cell: 5.023 5.023 5.023 Å, 60.00 60.00 60.00°
Atoms (fractional coordinates):
Cd 0.000 0.000 0.000
Cu 0.500 0.500 0.500
Hg 0.750 0.750 0.750
Pb 0.250 0.250 0.250

Main lines, sorted by position (10° ≤ 2θ ≤ 80°):
Position (°2θ)  I_rel
21.67  1.4
25.07  16.7
35.75  100.0
44.16  5.4
51.45  17.7
58.07  7.7
64.23  36.2
75.74  11.3

=====

# HoBIr
Computed powder X-ray diffraction pattern, Cu Ka. Input: the PBE geometry in OQMD.

Atomic structure:
Cell: 4.105 4.105 4.105 Å, 60.00 60.00 60.00°
Atoms (fractional coordinates):
Ho 0.000 0.000 0.000
B 0.250 0.250 0.250
Ir 0.500 0.500 0.500

Main lines, sorted by position (10° ≤ 2θ ≤ 80°):
Position (°2θ)  I_rel
26.60  1.2
30.80  100.0
44.12  82.6
52.26  0.6
54.78  27.1
64.17  13.6
72.87  35.0

=====

# Sm4C2I3F2
Computed powder X-ray diffraction pattern, Cu Ka. Input: the PBE geometry in OQMD.

Atomic structure:
Cell: 9.833 9.833 8.209 Å, 99.90 99.90 22.87°
Atoms (fractional coordinates):
Sm 0.000 0.000 0.193
Sm 0.000 0.000 0.807
Sm 0.348 0.348 0.893
Sm 0.652 0.652 0.107
C 0.463 0.463 0.980
C 0.537 0.537 0.020
I 0.171 0.171 0.807
I 0.500 0.500 0.500
I 0.829 0.829 0.193
F 0.143 0.143 0.259
F 0.857 0.857 0.741

Main lines, sorted by position (10° ≤ 2θ ≤ 80°):
Position (°2θ)  I_rel
10.95  77.0
26.15  38.3
28.22  74.0
31.66  100.0
33.26  29.2
33.41  36.6
42.33  42.7
43.50  30.4

=====

# ZrSe4Cl6
Computed powder X-ray diffraction pattern, Cu Ka. Input: the PBE geometry in OQMD.

Atomic structure:
Cell: 11.014 11.014 10.644 Å, 90.00 90.00 90.00°
Atoms (fractional coordinates):
Zr 0.000 0.000 0.000
Zr 0.000 0.500 0.500
Zr 0.500 0.000 0.500
Zr 0.500 0.500 0.000
Se 0.091 0.091 0.419
Se 0.091 0.409 0.919
Se 0.106 0.606 0.000
Se 0.106 0.894 0.500
Se 0.394 0.606 0.500
Se 0.394 0.894 0.000
Se 0.409 0.091 0.919
Se 0.409 0.409 0.419
Se 0.591 0.591 0.581
Se 0.591 0.909 0.081
Se 0.606 0.106 0.000
Se 0.606 0.394 0.500
Se 0.894 0.106 0.500
Se 0.894 0.394 0.000
Se 0.909 0.591 0.081
Se 0.909 0.909 0.581
Cl 0.058 0.670 0.645
Cl 0.058 0.830 0.145
Cl 0.136 0.136 0.115
Cl 0.136 0.364 0.615
Cl 0.170 0.558 0.355
Cl 0.170 0.942 0.855
Cl 0.330 0.558 0.855
Cl 0.330 0.942 0.355
Cl 0.364 0.136 0.615
Cl 0.364 0.364 0.115
Cl 0.442 0.670 0.145
Cl 0.442 0.830 0.645
Cl 0.558 0.170 0.355
Cl 0.558 0.330 0.855
Cl 0.636 0.636 0.885
Cl 0.636 0.864 0.385
Cl 0.670 0.058 0.645
Cl 0.670 0.442 0.145
Cl 0.830 0.058 0.145
Cl 0.830 0.442 0.645
Cl 0.864 0.636 0.385
Cl 0.864 0.864 0.885
Cl 0.942 0.170 0.855
Cl 0.942 0.330 0.355

Main lines, sorted by position (10° ≤ 2θ ≤ 80°):
Position (°2θ)  I_rel
16.09  95.6
16.66  100.0
23.24  49.9
24.63  33.2
26.93  25.5
31.06  39.6
36.14  54.3
42.72  91.6

=====

# Cu11C12S12
Computed powder X-ray diffraction pattern, Cu Ka. Input: the PBE geometry in OQMD.

Atomic structure:
Cell: 3.920 8.575 14.695 Å, 91.19 94.05 94.09°
Atoms (fractional coordinates):
Cu 0.000 0.000 0.000
Cu 0.090 0.320 0.278
Cu 0.125 0.179 0.773
Cu 0.261 0.496 0.558
Cu 0.381 0.634 0.273
Cu 0.455 0.846 0.793
Cu 0.545 0.154 0.207
Cu 0.619 0.366 0.727
Cu 0.739 0.504 0.442
Cu 0.875 0.821 0.227
Cu 0.910 0.680 0.722
C 0.017 0.369 0.057
C 0.084 0.488 0.909
C 0.109 0.358 0.966
C 0.393 0.846 0.467
C 0.448 0.879 0.562
C 0.450 0.967 0.405
C 0.550 0.033 0.595
C 0.552 0.121 0.438
C 0.607 0.154 0.533
C 0.891 0.642 0.034
C 0.916 0.512 0.091
C 0.983 0.631 0.943
S 0.023 0.198 0.123
S 0.144 0.465 0.791
S 0.265 0.185 0.924
S 0.268 0.653 0.425
S 0.403 0.724 0.641
S 0.404 0.927 0.285
S 0.596 0.073 0.715
S 0.597 0.276 0.359
S 0.732 0.347 0.575
S 0.735 0.815 0.076
S 0.856 0.535 0.209
S 0.977 0.802 0.877

Main lines, sorted by position (10° ≤ 2θ ≤ 80°):
Position (°2θ)  I_rel
11.85  35.8
12.09  100.0
24.03  20.2
24.32  37.2
32.57  19.6
35.73  29.2
36.07  27.1
47.04  25.0

=====

# HfTe2Au2
Computed powder X-ray diffraction pattern, Cu Ka. Input: the PBE geometry in OQMD.

Atomic structure:
Cell: 8.810 8.810 8.810 Å, 155.38 155.38 35.09°
Atoms (fractional coordinates):
Hf 0.000 0.000 0.000
Te 0.406 0.406 0.000
Te 0.594 0.594 0.000
Au 0.250 0.750 0.500
Au 0.750 0.250 0.500

Main lines, sorted by position (10° ≤ 2θ ≤ 80°):
Position (°2θ)  I_rel
21.15  31.4
28.61  19.7
35.44  100.0
35.86  38.1
40.17  25.1
48.47  31.4
65.77  24.1
66.82  16.9

=====

# MgSc2Zn5
Computed powder X-ray diffraction pattern, Cu Ka. Input: the PBE geometry in OQMD.

Atomic structure:
Cell: 4.479 5.886 5.886 Å, 62.30 90.00 90.00°
Atoms (fractional coordinates):
Mg 0.000 0.000 0.000
Sc 0.000 0.488 0.488
Sc 0.500 0.808 0.808
Zn 0.000 0.481 0.993
Zn 0.000 0.993 0.481
Zn 0.500 0.308 0.308
Zn 0.500 0.312 0.825
Zn 0.500 0.825 0.312

Main lines, sorted by position (10° ≤ 2θ ≤ 80°):
Position (°2θ)  I_rel
34.42  20.7
35.65  16.1
40.03  100.0
40.27  31.1
41.12  38.1
63.24  14.2
73.04  15.1
77.69  15.0

=====

# AgIrI6
Computed powder X-ray diffraction pattern, Cu Ka. Input: the PBE geometry in OQMD.

Atomic structure:
Cell: 7.660 7.660 7.660 Å, 60.00 60.00 60.00°
Atoms (fractional coordinates):
Ag 0.000 0.000 0.000
Ir 0.250 0.250 0.250
I 0.004 0.004 0.496
I 0.004 0.496 0.004
I 0.004 0.496 0.496
I 0.496 0.004 0.004
I 0.496 0.004 0.496
I 0.496 0.496 0.004

Main lines, sorted by position (10° ≤ 2θ ≤ 80°):
Position (°2θ)  I_rel
14.16  52.0
16.37  54.1
28.54  81.6
33.08  100.0
37.12  28.0
47.48  71.6
56.34  34.1
79.06  31.7

=====

# LiPrPa
Computed powder X-ray diffraction pattern, Cu Ka. Input: the PBE geometry in OQMD.

Atomic structure:
Cell: 4.972 4.972 4.972 Å, 60.00 60.00 60.00°
Atoms (fractional coordinates):
Li 0.000 0.000 0.000
Pr 0.500 0.500 0.500
Pa 0.250 0.250 0.250

Main lines, sorted by position (10° ≤ 2θ ≤ 80°):
Position (°2θ)  I_rel
21.89  100.0
36.13  84.8
42.65  54.1
52.02  15.2
57.10  23.3
64.98  31.4
69.46  17.4
76.67  9.8

=====

What is the formula in the sixth record? Sm4C2I3F2